Nd3Pu5Se8: calculated X-ray powder pattern (Cu Kα), based on a DFT-relaxed cell (PBE, Alexandria).
Kinematic intensities with the Lorentz-polarization factor, no thermal factor.

Atomic structure:
Lattice parameters (Å, degrees): 8.3686 8.3686 20.3821 90.00 90.00 120.00
Space group R-3m (No. 166, hexagonal axes)
Asymmetric unit:
1 Nd 0.0000 0.5000 0.0000 (multiplicity 9)
2 Pu 0.0000 0.0000 0.0000 (multiplicity 3)
3 Pu 0.0000 0.0000 0.5000 (multiplicity 3)
4 Pu 0.0000 0.5000 0.5000 (multiplicity 9)
5 Se 0.0000 0.0000 0.2473 (multiplicity 6)
6 Se 0.0040 0.5020 0.7515 (multiplicity 18)

Top 6 peaks for 15 to 90 degrees two-theta, in order of rising 2θ:
h k l, 2theta, Rel. int.
2 0 2, 26.10, 26
0 2 4, 30.27, 100
2 2 0, 43.24, 38
2 0 8, 43.42, 38
4 0 4, 53.69, 20
2 4 4, 71.30, 18


TbYAl3: calculated X-ray powder pattern (Cu Kα), based on a DFT-relaxed cell (PBE, Alexandria).
Kinematic intensities with the Lorentz-polarization factor, no thermal factor.

Atomic structure:
Lattice parameters (Å, degrees): 3.569 27.680 4.536 90.00 90.00 90.00
Space group Cmcm (No. 63)
Asymmetric unit:
1 Tb 0.000 0.211 0.250 (multiplicity 4)
2 Y 0.000 0.071 0.750 (multiplicity 4)
3 Al 0.000 0.330 0.250 (multiplicity 4)
4 Al 0.000 0.381 0.750 (multiplicity 4)
5 Al 0.000 0.476 0.750 (multiplicity 4)

Top 6 peaks for 15 to 90 degrees two-theta, in order of rising 2θ:
h k l, 2theta, Rel. int.
0 4 1, 23.45, 64
1 3 1, 33.39, 100
1 7 0, 33.83, 67
0 10 1, 38.09, 43
0 0 2, 39.74, 29
1 7 2, 53.16, 36


AcSnPd2: calculated X-ray powder pattern (Cu Kα), based on a DFT-relaxed cell (PBE, Alexandria).
Kinematic intensities with the Lorentz-polarization factor, no thermal factor.

Atomic structure:
Lattice parameters (Å, degrees): 4.316 19.745 4.593 90.00 90.00 90.00
Space group Cmcm (No. 63)
Asymmetric unit:
1 Ac 0.000 0.095 0.250 (multiplicity 4)
2 Sn 0.000 0.324 0.250 (multiplicity 4)
3 Pd 0.000 0.254 0.750 (multiplicity 4)
4 Pd 0.000 0.461 0.250 (multiplicity 4)

Top 6 peaks for 15 to 90 degrees two-theta, in order of rising 2θ:
h k l, 2theta, Rel. int.
1 5 0, 30.69, 48
1 3 1, 31.53, 100
0 0 2, 39.23, 31
0 8 1, 41.54, 29
2 0 0, 41.86, 26
1 5 2, 50.61, 28


VIr2Rh7: calculated X-ray powder pattern (Cu Kα), based on a DFT-relaxed cell (PBE, Alexandria).
Kinematic intensities with the Lorentz-polarization factor, no thermal factor.

Atomic structure:
Lattice parameters (Å, degrees): 7.031 12.949 3.925 90.00 90.00 90.00
Space group Cmmm (No. 65)
Asymmetric unit:
1 V 0.000 0.000 0.000 (multiplicity 2)
2 Ir 0.000 0.304 0.500 (multiplicity 4)
3 Rh 0.000 0.194 0.000 (multiplicity 4)
4 Rh 0.000 0.500 0.500 (multiplicity 2)
5 Rh 0.187 0.101 0.500 (multiplicity 8)

Top 6 peaks for 15 to 90 degrees two-theta, in order of rising 2θ:
h k l, 2theta, Rel. int.
0 0 1, 22.66, 73
2 0 0, 25.34, 27
2 2 0, 28.90, 28
1 5 1, 43.82, 100
3 1 1, 45.63, 49
0 0 2, 46.26, 36


Tb5Er4Pu: calculated X-ray powder pattern (Cu Kα), based on a DFT-relaxed cell (PBE, Alexandria).
Kinematic intensities with the Lorentz-polarization factor, no thermal factor.

Atomic structure:
Lattice parameters (Å, degrees): 10.796 10.796 5.428 90.00 90.00 90.00
Space group I4mm (No. 107)
Asymmetric unit:
1 Tb 0.000 0.000 0.000 (multiplicity 2)
2 Tb 0.184 0.184 0.501 (multiplicity 8)
3 Er 0.000 0.328 0.001 (multiplicity 8)
4 Pu 0.000 0.000 0.500 (multiplicity 2)

Top 6 peaks for 15 to 90 degrees two-theta, in order of rising 2θ:
h k l, 2theta, Rel. int.
3 0 1, 29.79, 100
0 0 2, 33.00, 39
3 3 0, 35.27, 60
3 3 2, 49.08, 47
6 3 1, 59.95, 22
6 0 2, 61.87, 22